Calculated X-ray diffraction stick pattern of Dy2HoCuS5 for Cu Kα (λ = 1.5418 Å), from a structure optimized by DFT (PBE).

Largest 6 diffraction maxima, in order of falling intensity, 15 to 90 degrees two-theta:
| 2θ/deg | I (rel.) |
| --- | --- |
| 33.69 | 100 |
| 39.18 | 77 |
| 25.75 | 72 |
| 33.18 | 45 |
| 28.35 | 32 |
| 29.43 | 29 |

Cell: 8.554 8.554 11.406 Å, 90.00 90.00 154.20°
Fractional coordinates of all 18 atoms:
Dy  0.106  0.894  0.500
Dy  0.120  0.880  0.123
Dy  0.880  0.120  0.623
Dy  0.894  0.106  0.000
Ho  0.195  0.805  0.826
Ho  0.805  0.195  0.326
Cu  0.442  0.558  0.272
Cu  0.558  0.442  0.772
S  0.042  0.958  0.880
S  0.289  0.711  0.494
S  0.317  0.683  0.159
S  0.358  0.642  0.817
S  0.497  0.503  0.594
S  0.503  0.497  0.094
S  0.642  0.358  0.317
S  0.683  0.317  0.659
S  0.711  0.289  0.994
S  0.958  0.042  0.380